1.
Diffraction record for DyBr2. The powder XRD pattern is theoretical, not measured: it uses a crystal structure in OQMD, relaxed with PBE and Cu Kα, 1.54184 Å.
Neutral-atom scattering factors, no anomalous dispersion.

Principal peaks in the range 15 to 90 degrees two-theta, by angle:
hkl 1 1 0, 17.53°, 5.058 Å, I = 100; hkl 1 0 1, 27.31°, 3.265 Å, I = 40; hkl 1 1 1, 30.09°, 2.970 Å, I = 49; hkl 2 2 0, 35.49°, 2.529 Å, I = 56; hkl 2 1 1, 37.29°, 2.411 Å, I = 79; hkl 3 1 0, 39.85°, 2.262 Å, I = 18; hkl 3 0 1, 45.36°, 1.999 Å, I = 40; hkl 3 1 1, 47.20°, 1.926 Å, I = 19; hkl 2 2 2, 62.54°, 1.485 Å, I = 21; hkl 5 2 1, 76.23°, 1.249 Å, I = 22

Atomic structure:
Unit cell a=7.1534 b=7.1534 c=3.6697 alpha=90.00 beta=90.00 gamma=90.00
Space group P4_2/mnm (No. 136)
Symmetry-distinct sites (fractional):
Dy: 0.0000 0.0000 0.0000
Br: 0.2183 0.2183 0.5000


2.
Diffraction record for Hf3B4P. The powder XRD pattern is theoretical, not measured: it uses a crystal structure in OQMD, relaxed with PBE and Cu Kα, 1.54184 Å.
Neutral-atom scattering factors, no anomalous dispersion.

Principal peaks in the range 15 to 90 degrees two-theta, by angle:
hkl 0 1 0, 25.88°, 3.442 Å, I = 100; hkl 1 0 1, 29.94°, 2.984 Å, I = 54; hkl 0 0 3, 31.42°, 2.847 Å, I = 63; hkl 1 0 2, 35.15°, 2.553 Å, I = 73; hkl 1 1 1, 39.99°, 2.255 Å, I = 81; hkl 0 1 3, 41.14°, 2.194 Å, I = 90; hkl 1 1 2, 44.16°, 2.051 Å, I = 68; hkl 1 2 2, 65.40°, 1.427 Å, I = 25; hkl 1 1 5, 67.96°, 1.379 Å, I = 27; hkl 2 1 3, 73.48°, 1.289 Å, I = 33

Atomic structure:
Unit cell a=3.1850 b=3.4420 c=8.5420 alpha=90.00 beta=90.00 gamma=90.00
Space group Pmmm (No. 47)
Symmetry-distinct sites (fractional):
Hf: 0.0000 0.0000 0.0000
Hf: 0.5000 0.0000 0.3209
B: 0.0000 0.5000 0.2082
B: 0.5000 0.5000 0.1109
P: 0.0000 0.5000 0.5000


3.
Diffraction record for SnTe2Mo2. The powder XRD pattern is theoretical, not measured: it uses a crystal structure in OQMD, relaxed with PBE and Cu Kα, 1.54184 Å.
Neutral-atom scattering factors, no anomalous dispersion.

Principal peaks in the range 15 to 90 degrees two-theta, by angle:
hkl 1 1 2, 31.62°, 2.830 Å, I = 100; hkl 2 0 0, 34.26°, 2.617 Å, I = 98; hkl 1 0 3, 35.13°, 2.554 Å, I = 41; hkl 1 1 4, 48.21°, 1.888 Å, I = 23; hkl 2 2 0, 49.24°, 1.851 Å, I = 35; hkl 2 1 3, 49.89°, 1.828 Å, I = 30; hkl 3 1 2, 59.70°, 1.549 Å, I = 33; hkl 3 1 4, 71.37°, 1.322 Å, I = 14; hkl 4 2 0, 82.39°, 1.170 Å, I = 16; hkl 3 1 6, 89.37°, 1.096 Å, I = 13

Atomic structure:
Unit cell a=5.2345 b=5.2345 c=8.7785 alpha=90.00 beta=90.00 gamma=90.00
Space group I4/mmm (No. 139)
Symmetry-distinct sites (fractional):
Sn: 0.0000 0.0000 0.0000
Te: 0.0000 0.5000 0.2500
Mo: 0.0000 0.0000 0.3727


4.
Diffraction record for UCoSn. The powder XRD pattern is theoretical, not measured: it uses a crystal structure in OQMD, relaxed with PBE and Cu Kα, 1.54184 Å.
Neutral-atom scattering factors, no anomalous dispersion.

Principal peaks in the range 15 to 90 degrees two-theta, by angle:
hkl 1 1 0, 25.24°, 3.528 Å, I = 16; hkl 2 0 0, 29.23°, 3.055 Å, I = 16; hkl 1 1 1, 33.77°, 2.654 Å, I = 100; hkl 2 0 1, 36.93°, 2.434 Å, I = 79; hkl 2 1 0, 39.00°, 2.310 Å, I = 48; hkl 0 0 2, 45.01°, 2.014 Å, I = 23; hkl 3 1 0, 54.12°, 1.695 Å, I = 18; hkl 3 1 1, 59.14°, 1.562 Å, I = 33; hkl 2 1 2, 61.05°, 1.518 Å, I = 27; hkl 3 2 1, 71.22°, 1.324 Å, I = 20

Atomic structure:
Unit cell a=7.0558 b=7.0558 c=4.0280 alpha=90.00 beta=90.00 gamma=120.00
Space group P-62m (No. 189)
Symmetry-distinct sites (fractional):
U: 0.0000 0.5830 0.0000
Co: 0.0000 0.0000 0.0000
Co: 0.3333 0.6667 0.5000
Sn: 0.0000 0.2516 0.5000


5.
Diffraction record for RbPm. The powder XRD pattern is theoretical, not measured: it uses a crystal structure in OQMD, relaxed with PBE and Cu Kα, 1.54184 Å.
Neutral-atom scattering factors, no anomalous dispersion.

Principal peaks in the range 15 to 90 degrees two-theta, by angle:
hkl 0 0 2, 23.90°, 3.724 Å, I = 38; hkl 1 0 0, 27.19°, 3.280 Å, I = 25; hkl 1 0 1, 29.76°, 3.002 Å, I = 100; hkl 1 0 2, 36.51°, 2.461 Å, I = 23; hkl 1 0 3, 45.84°, 1.979 Å, I = 30; hkl 1 1 0, 48.04°, 1.894 Å, I = 17; hkl 1 1 2, 54.35°, 1.688 Å, I = 24; hkl 2 0 1, 57.54°, 1.602 Å, I = 15; hkl 1 1 4, 70.99°, 1.328 Å, I = 11; hkl 2 1 1, 78.15°, 1.223 Å, I = 13

Atomic structure:
Unit cell a=3.7876 b=3.7876 c=7.4471 alpha=90.00 beta=90.00 gamma=120.00
Space group P-6m2 (No. 187)
Symmetry-distinct sites (fractional):
Rb: 0.0000 0.0000 0.0000
Pm: 0.3333 0.6667 0.5000


6.
Diffraction record for PrGe4Pd6. The powder XRD pattern is theoretical, not measured: it uses a crystal structure in OQMD, relaxed with PBE and Cu Kα, 1.54184 Å.
Neutral-atom scattering factors, no anomalous dispersion.

Principal peaks in the range 15 to 90 degrees two-theta, by angle:
hkl 1 1 1, 33.01°, 2.714 Å, I = 25; hkl 2 0 1, 35.98°, 2.496 Å, I = 100; hkl 2 1 0, 37.41°, 2.404 Å, I = 32; hkl 2 1 1, 43.86°, 2.064 Å, I = 37; hkl 0 0 2, 45.02°, 2.014 Å, I = 27; hkl 3 0 1, 48.52°, 1.876 Å, I = 13; hkl 2 2 0, 49.65°, 1.836 Å, I = 25; hkl 2 1 2, 59.92°, 1.544 Å, I = 16; hkl 2 2 2, 69.25°, 1.357 Å, I = 18; hkl 5 0 1, 78.92°, 1.213 Å, I = 12

Atomic structure:
Unit cell a=7.3448 b=7.3448 c=4.0273 alpha=90.00 beta=90.00 gamma=120.00
Space group P-6m2 (No. 187)
Symmetry-distinct sites (fractional):
Pr: 0.0000 0.0000 0.0000
Ge: 0.3333 0.6667 0.0000
Ge: 0.3865 0.1933 0.5000
Pd: 0.2005 0.4010 0.5000
Pd: 0.5354 0.0707 0.0000